# 1
Starting from a GGA-PBE-relaxed structure, the X-ray powder pattern of K2ZrInBr6 was calculated for Cu Kα X-rays.
Intensities are scaled so that the largest is 100.

Most intense lines, 2θ = 10–90°, sorted by position:
10.98 deg, rel. 42, hkl 0 0 6; 13.40 deg, rel. 29, hkl 1 0 1; 13.78 deg, rel. 71, hkl 0 1 2; 16.15 deg, rel. 41, hkl 0 1 5; 28.32 deg, rel. 33, hkl 2 0 5; 29.76 deg, rel. 100, hkl 0 2 7; 32.16 deg, rel. 58, hkl 1 1 12; 33.75 deg, rel. 53, hkl 2 0 11; 37.50 deg, rel. 24, hkl 2 0 14; 46.68 deg, rel. 20, hkl 0 3 12; 47.22 deg, rel. 49, hkl 2 2 0; 59.04 deg, rel. 19, hkl 2 2 18

Crystal structure
```
data_K2ZrInBr6
_symmetry_space_group_name_H-M 'R -3 m'
_symmetry_Int_Tables_number 166
_symmetry_space_group_name_Hall '-R 3 2"'
_cell_length_a 7.6993
_cell_length_b 7.6993
_cell_length_c 48.3406
_cell_angle_alpha 90.00
_cell_angle_beta 90.00
_cell_angle_gamma 120.00
loop_
_atom_site_label
_atom_site_fract_x
_atom_site_fract_y
_atom_site_fract_z
_atom_site_occupancy
K1 0.0000 0.0000 0.1463 1
K2 0.0000 0.0000 0.3135 1
Zr1 0.0000 0.0000 0.0000 1
Zr2 0.0000 0.0000 0.5000 1
In1 0.0000 0.0000 0.4170 1
Br1 0.0042 0.5021 0.1333 1
Br2 0.0041 0.5020 0.6993 1
```

---

# 2
Starting from a GGA-PBE-relaxed structure, the X-ray powder pattern of La2In5Br12 was calculated for Cu Kα X-rays.
Intensities are scaled so that the largest is 100.

Most intense lines, 2θ = 10–90°, sorted by position:
17.71 deg, rel. 68, hkl 2 0 -2; 18.38 deg, rel. 32, hkl 3 1 0; 20.20 deg, rel. 70, hkl 1 1 -2; 26.71 deg, rel. 71, hkl 2 2 -2; 27.53 deg, rel. 100, hkl 0 2 2; 28.80 deg, rel. 61, hkl 4 2 0; 28.86 deg, rel. 55, hkl 6 0 -1; 32.85 deg, rel. 71, hkl 4 2 1; 34.98 deg, rel. 51, hkl 0 2 3; 35.56 deg, rel. 47, hkl 2 0 -4; 39.04 deg, rel. 97, hkl 6 2 -3; 40.31 deg, rel. 54, hkl 0 4 0

Crystal structure
```
data_La2In5Br12
_symmetry_space_group_name_H-M 'C 1 2/m 1'
_symmetry_Int_Tables_number 12
_cell_length_a 18.632
_cell_length_b 8.949
_cell_length_c 10.170
_cell_angle_alpha 90.00
_cell_angle_beta 112.66
_cell_angle_gamma 90.00
loop_
_symmetry_equiv_pos_as_xyz
'x,y,z'
'-x,-y,-z'
'-x,y,-z'
'x,-y,z'
'x+1/2,y+1/2,z'
'-x+1/2,-y+1/2,-z'
'-x+1/2,y+1/2,-z'
'x+1/2,-y+1/2,z'
loop_
_atom_site_label
_atom_site_fract_x
_atom_site_fract_y
_atom_site_fract_z
_atom_site_occupancy
La1 0.000 0.246 0.000 1
In1 0.000 0.500 0.500 1
In2 0.179 0.000 0.814 1
In3 0.246 0.000 0.353 1
Br1 0.014 0.000 0.207 1
Br2 0.024 0.500 0.206 1
Br3 0.120 0.275 0.606 1
Br4 0.166 0.232 0.077 1
```